No. 1
Starting from a structure optimized by DFT (PBE), the PXRD pattern of RbInHgPb was calculated for CuKα.
Kinematic intensities with the Lorentz-polarization factor, no thermal factor.

Cell and atoms:
```
data_RbInHgPb
_chemical_formula_sum 'Rb3 In3 Hg3 Pb3'
_symmetry_space_group_name_H-M 'R 3 m'
_symmetry_Int_Tables_number 160
_symmetry_space_group_name_Hall 'R 3 -2"'
_cell_length_a 4.8939
_cell_length_b 4.8939
_cell_length_c 22.3037
_cell_angle_alpha 90.00
_cell_angle_beta 90.00
_cell_angle_gamma 120.00
loop_
_atom_site_label
_atom_site_type_symbol
_atom_site_fract_x
_atom_site_fract_y
_atom_site_fract_z
Rb1 Rb 0.0000 0.0000 0.0000
In1 In 0.0000 0.0000 0.8214
Hg1 Hg 0.0000 0.0000 0.4342
Pb1 Pb 0.0000 0.0000 0.2079
```

Main lines, low angle first (2θ from 5° to 70°):
11.90°, 7.435 Å, I 50, (0 0 3); 21.34°, 4.164 Å, I 19, (1 0 1); 22.44°, 3.962 Å, I 12, (0 1 2); 26.41°, 3.374 Å, I 36, (1 0 4); 29.06°, 3.073 Å, I 100, (0 1 5); 36.73°, 2.447 Å, I 64, (1 1 0); 38.70°, 2.327 Å, I 40, (0 1 8); 45.98°, 1.974 Å, I 16, (1 0 10); 47.50°, 1.914 Å, I 26, (2 0 5); 52.56°, 1.741 Å, I 16, (1 1 9); 61.51°, 1.508 Å, I 24, (1 2 5); 67.44°, 1.389 Å, I 12, (1 2 8)

No. 2
Starting from a structure optimized by DFT (PBE), the PXRD pattern of Nd3Y3Ho was calculated for CuKα.
Kinematic intensities with the Lorentz-polarization factor, no thermal factor.

Cell and atoms:
```
data_Nd3Y3Ho
_chemical_formula_sum 'Nd18 Y18 Ho6'
_symmetry_space_group_name_H-M 'R -3'
_symmetry_Int_Tables_number 148
_symmetry_space_group_name_Hall '-R 3'
_cell_length_a 6.2639
_cell_length_b 6.2639
_cell_length_c 43.4014
_cell_angle_alpha 90.00
_cell_angle_beta 90.00
_cell_angle_gamma 120.00
loop_
_atom_site_label
_atom_site_type_symbol
_atom_site_fract_x
_atom_site_fract_y
_atom_site_fract_z
Nd1 Nd 0.0002 0.3310 0.1311
Y1 Y 0.9997 0.3332 0.2689
Ho1 Ho 0.0000 0.0000 0.3333
```

Main lines, low angle first (2θ from 5° to 70°):
6.11°, 14.467 Å, I 13, (0 0 3); 29.17°, 3.061 Å, I 30, (2 -1 3); 30.90°, 2.893 Å, I 39, (0 0 15); 31.12°, 2.874 Å, I 100, (1 1 6); 34.14°, 2.627 Å, I 60, (2 -1 9); 38.01°, 2.368 Å, I 22, (2 -1 12); 50.47°, 1.808 Å, I 31, (3 0 0); 53.09°, 1.725 Å, I 26, (1 1 21); 58.98°, 1.566 Å, I 9, (2 -1 24); 60.36°, 1.533 Å, I 34, (3 0 15); 60.49°, 1.531 Å, I 15, (4 -2 6); 62.34°, 1.489 Å, I 11, (2 2 9)

Repeat the second record exactly.
Starting from a structure optimized by DFT (PBE), the PXRD pattern of Nd3Y3Ho was calculated for CuKα.
Kinematic intensities with the Lorentz-polarization factor, no thermal factor.

Cell and atoms:
```
data_Nd3Y3Ho
_chemical_formula_sum 'Nd18 Y18 Ho6'
_symmetry_space_group_name_H-M 'R -3'
_symmetry_Int_Tables_number 148
_symmetry_space_group_name_Hall '-R 3'
_cell_length_a 6.2639
_cell_length_b 6.2639
_cell_length_c 43.4014
_cell_angle_alpha 90.00
_cell_angle_beta 90.00
_cell_angle_gamma 120.00
loop_
_atom_site_label
_atom_site_type_symbol
_atom_site_fract_x
_atom_site_fract_y
_atom_site_fract_z
Nd1 Nd 0.0002 0.3310 0.1311
Y1 Y 0.9997 0.3332 0.2689
Ho1 Ho 0.0000 0.0000 0.3333
```

Main lines, low angle first (2θ from 5° to 70°):
6.11°, 14.467 Å, I 13, (0 0 3); 29.17°, 3.061 Å, I 30, (2 -1 3); 30.90°, 2.893 Å, I 39, (0 0 15); 31.12°, 2.874 Å, I 100, (1 1 6); 34.14°, 2.627 Å, I 60, (2 -1 9); 38.01°, 2.368 Å, I 22, (2 -1 12); 50.47°, 1.808 Å, I 31, (3 0 0); 53.09°, 1.725 Å, I 26, (1 1 21); 58.98°, 1.566 Å, I 9, (2 -1 24); 60.36°, 1.533 Å, I 34, (3 0 15); 60.49°, 1.531 Å, I 15, (4 -2 6); 62.34°, 1.489 Å, I 11, (2 2 9)

Q: What is the formula in the first record?
A: RbInHgPb